[1]
The following is a theoretical X-ray diffraction stick pattern of Na2DyY3Te6. It was derived from a structure optimized by DFT (GGA-PBE), using Cu Kα.

Structural model:
Cell lengths 7.6029, 7.6029, 7.7084 Å; angles 99.45, 99.45, 119.95 degrees
Atoms (fractional coordinates):
Na  0.1657  0.8343  0.0000
Na  0.8343  0.1657  0.0000
Dy  0.5000  0.5000  0.0000
Y  0.0000  0.0000  0.5000
Y  0.3308  0.6692  0.5000
Y  0.6692  0.3308  0.5000
Te  0.0866  0.4161  0.7481
Te  0.2567  0.2567  0.2556
Te  0.4161  0.0866  0.7481
Te  0.5839  0.9134  0.2519
Te  0.7433  0.7433  0.7444
Te  0.9134  0.5839  0.2519

Largest 6 diffraction maxima, in order of rising 2θ, 10° ≤ 2θ ≤ 90°:
two_theta, intensity
28.61, 1000
40.68, 382
41.12, 370
50.85, 198
66.75, 173
67.38, 166

---

[2]
The following is a theoretical X-ray diffraction stick pattern of NaDy2Tl6. It was derived from a structure optimized by DFT (GGA-PBE), using Cu Kα.

Structural model:
Cell lengths 9.4408, 9.4408, 3.5295 Å; angles 90.71, 90.71, 55.10 degrees
Atoms (fractional coordinates):
Na  0.0000  0.0000  0.0000
Dy  0.3081  0.3081  0.5014
Dy  0.6919  0.6919  0.4986
Tl  0.0236  0.6550  0.0008
Tl  0.3211  0.6789  0.5000
Tl  0.3450  0.9764  0.9992
Tl  0.6550  0.0236  0.0008
Tl  0.6789  0.3211  0.5000
Tl  0.9764  0.3450  0.9992

Largest 6 diffraction maxima, in order of rising 2θ, 10° ≤ 2θ ≤ 90°:
two_theta, intensity
32.08, 568
34.27, 281
34.50, 270
34.76, 1000
38.25, 258
40.53, 267

---

[3]
The following is a theoretical X-ray diffraction stick pattern of NaDyY. It was derived from a structure optimized by DFT (GGA-PBE), using Cu Kα.

Structural model:
Cell lengths 3.5437, 3.5437, 9.1451 Å; angles 90.00, 90.00, 120.00 degrees
Atoms (fractional coordinates):
Na  0.0000  0.0000  0.0000
Dy  0.6667  0.3333  0.3492
Y  0.3333  0.6667  0.6504

Largest 6 diffraction maxima, in order of rising 2θ, 10° ≤ 2θ ≤ 90°:
two_theta, intensity
29.30, 311
30.73, 1000
35.22, 781
49.73, 214
51.58, 205
60.43, 233

---

[4]
The following is a theoretical X-ray diffraction stick pattern of DyNbNi10. It was derived from a structure optimized by DFT (GGA-PBE), using Cu Kα.

Structural model:
Cell lengths 3.9686, 4.7587, 8.2529 Å; angles 90.00, 90.00, 90.00 degrees
Atoms (fractional coordinates):
Dy  0.0000  0.0000  0.0000
Nb  0.0000  0.5000  0.5000
Ni  0.0000  0.0000  0.3426
Ni  0.0000  0.0000  0.6574
Ni  0.0000  0.5000  0.1801
Ni  0.0000  0.5000  0.8199
Ni  0.5000  0.0000  0.5000
Ni  0.5000  0.2552  0.2589
Ni  0.5000  0.2552  0.7411
Ni  0.5000  0.5000  0.0000
Ni  0.5000  0.7448  0.2589
Ni  0.5000  0.7448  0.7411

Largest 6 diffraction maxima, in order of rising 2θ, 10° ≤ 2θ ≤ 90°:
two_theta, intensity
31.28, 420
37.79, 280
43.91, 331
44.37, 1000
45.72, 304
72.82, 202

---

[5]
The following is a theoretical X-ray diffraction stick pattern of PmDyNb2O8. It was derived from a structure optimized by DFT (GGA-PBE), using Cu Kα.

Structural model:
Cell lengths 6.7744, 6.7744, 6.7744 Å; angles 133.92, 133.92, 67.21 degrees
Atoms (fractional coordinates):
Pm  0.0000  0.0000  0.0000
Dy  0.7500  0.2500  0.5000
Nb  0.2500  0.7500  0.5000
Nb  0.5000  0.5000  0.0000
O  0.0862  0.6610  0.0731
O  0.1580  0.2423  0.5805
O  0.3390  0.4122  0.4252
O  0.4224  0.8420  0.0843
O  0.5878  0.0131  0.9269
O  0.6618  0.5776  0.4195
O  0.7577  0.3382  0.9157
O  0.9869  0.9138  0.5748

Largest 6 diffraction maxima, in order of rising 2θ, 10° ≤ 2θ ≤ 90°:
two_theta, intensity
28.59, 1000
33.81, 200
47.04, 313
48.57, 147
54.59, 162
57.33, 280

---

[6]
The following is a theoretical X-ray diffraction stick pattern of Rb4DyNb3O12. It was derived from a structure optimized by DFT (GGA-PBE), using Cu Kα.

Structural model:
Cell lengths 7.2941, 7.2941, 7.2941 Å; angles 109.47, 109.47, 109.47 degrees
Atoms (fractional coordinates):
Rb  0.0000  0.0000  0.5000
Rb  0.0000  0.5000  0.0000
Rb  0.5000  0.0000  0.0000
Rb  0.5000  0.5000  0.5000
Dy  0.0000  0.0000  0.0000
Nb  0.0000  0.5000  0.5000
Nb  0.5000  0.0000  0.5000
Nb  0.5000  0.5000  0.0000
O  0.0000  0.2688  0.2688
O  0.0000  0.7312  0.7312
O  0.2500  0.5000  0.7500
O  0.2500  0.7500  0.5000
O  0.2688  0.0000  0.2688
O  0.2688  0.2688  0.0000
O  0.5000  0.2500  0.7500
O  0.5000  0.7500  0.2500
O  0.7312  0.0000  0.7312
O  0.7312  0.7312  0.0000
O  0.7500  0.2500  0.5000
O  0.7500  0.5000  0.2500

Largest 6 diffraction maxima, in order of rising 2θ, 10° ≤ 2θ ≤ 90°:
two_theta, intensity
30.01, 1000
42.95, 334
53.28, 397
62.37, 203
70.75, 176
86.46, 210

---

[7]
The following is a theoretical X-ray diffraction stick pattern of DyNbPd. It was derived from a structure optimized by DFT (GGA-PBE), using Cu Kα.

Structural model:
Cell lengths 3.3666, 3.3666, 10.9256 Å; angles 90.00, 90.00, 90.00 degrees
Atoms (fractional coordinates):
Dy  0.0000  0.0000  0.1672
Dy  0.0000  0.0000  0.8328
Nb  0.5000  0.5000  0.3629
Nb  0.5000  0.5000  0.6371
Pd  0.0000  0.0000  0.5000
Pd  0.5000  0.5000  0.0000

Largest 6 diffraction maxima, in order of rising 2θ, 10° ≤ 2θ ≤ 90°:
two_theta, intensity
36.34, 1000
37.79, 486
54.51, 167
64.42, 146
67.29, 324
77.17, 87

---

[8]
The following is a theoretical X-ray diffraction stick pattern of DyNb2Pd9. It was derived from a structure optimized by DFT (GGA-PBE), using Cu Kα.

Structural model:
Cell lengths 4.0211, 4.0211, 12.1085 Å; angles 90.00, 90.00, 90.00 degrees
Atoms (fractional coordinates):
Dy  0.0000  0.0000  0.0000
Nb  0.0000  0.0000  0.3341
Nb  0.0000  0.0000  0.6659
Pd  0.0000  0.5000  0.1779
Pd  0.0000  0.5000  0.5000
Pd  0.0000  0.5000  0.8221
Pd  0.5000  0.0000  0.1779
Pd  0.5000  0.0000  0.5000
Pd  0.5000  0.0000  0.8221
Pd  0.5000  0.5000  0.0000
Pd  0.5000  0.5000  0.3392
Pd  0.5000  0.5000  0.6608

Largest 6 diffraction maxima, in order of rising 2θ, 10° ≤ 2θ ≤ 90°:
two_theta, intensity
38.74, 1000
44.92, 155
45.09, 328
65.54, 197
78.68, 107
78.94, 241

---

[9]
The following is a theoretical X-ray diffraction stick pattern of DyNb4S8. It was derived from a structure optimized by DFT (GGA-PBE), using Cu Kα.

Structural model:
Cell lengths 6.8704, 6.8704, 8.6653 Å; angles 123.60, 123.60, 60.78 degrees
Atoms (fractional coordinates):
Dy  0.0000  0.0000  0.0000
Nb  0.2765  0.2765  0.5088
Nb  0.2939  0.7061  0.5000
Nb  0.7061  0.2939  0.5000
Nb  0.7235  0.7235  0.4912
S  0.0062  0.0062  0.6920
S  0.0285  0.5242  0.7335
S  0.4553  0.4553  0.2339
S  0.4758  0.9715  0.2665
S  0.5242  0.0285  0.7335
S  0.5447  0.5447  0.7661
S  0.9715  0.4758  0.2665
S  0.9938  0.9938  0.3080

Largest 6 diffraction maxima, in order of rising 2θ, 10° ≤ 2θ ≤ 90°:
two_theta, intensity
13.32, 1000
16.39, 827
29.81, 640
33.13, 538
39.95, 619
41.13, 956

---

[10]
The following is a theoretical X-ray diffraction stick pattern of DyNb6Sn6. It was derived from a structure optimized by DFT (GGA-PBE), using Cu Kα.

Structural model:
Cell lengths 7.5400, 7.5400, 7.5400 Å; angles 134.75, 100.58, 96.45 degrees
Atoms (fractional coordinates):
Dy  0.0000  0.0000  0.0000
Nb  0.0000  0.0000  0.5000
Nb  0.0000  0.5000  0.0000
Nb  0.2522  0.5000  0.7522
Nb  0.5000  0.0000  0.0000
Nb  0.5000  0.5000  0.5000
Nb  0.7478  0.5000  0.2478
Sn  0.1642  0.6642  0.5000
Sn  0.3263  0.0000  0.3263
Sn  0.3328  0.3328  0.0000
Sn  0.6672  0.6672  0.0000
Sn  0.6737  0.0000  0.6737
Sn  0.8358  0.3358  0.5000

Largest 6 diffraction maxima, in order of rising 2θ, 10° ≤ 2θ ≤ 90°:
two_theta, intensity
30.83, 759
35.75, 569
36.15, 1000
40.50, 948
64.23, 414
66.56, 409

---

[11]
The following is a theoretical X-ray diffraction stick pattern of Dy2YNb. It was derived from a structure optimized by DFT (GGA-PBE), using Cu Kα.

Structural model:
Cell lengths 11.7322, 11.7322, 11.7322 Å; angles 16.20, 16.20, 16.20 degrees
Atoms (fractional coordinates):
Dy  0.0831  0.0831  0.0831
Dy  0.9169  0.9169  0.9169
Y  0.5000  0.5000  0.5000
Nb  0.0000  0.0000  0.0000

Largest 6 diffraction maxima, in order of rising 2θ, 10° ≤ 2θ ≤ 90°:
two_theta, intensity
30.90, 756
31.35, 676
31.67, 1000
33.86, 508
40.85, 481
64.97, 530

---

[12]
The following is a theoretical X-ray diffraction stick pattern of Nd8Dy3. It was derived from a structure optimized by DFT (GGA-PBE), using Cu Kα.

Structural model:
Cell lengths 6.1086, 6.6492, 10.7012 Å; angles 100.03, 100.79, 112.81 degrees
Atoms (fractional coordinates):
Nd  0.0424  0.1223  0.1779
Nd  0.2686  0.5566  0.4673
Nd  0.3442  0.4643  0.8023
Nd  0.4309  0.9229  0.3014
Nd  0.5691  0.0771  0.6986
Nd  0.6558  0.5357  0.1977
Nd  0.7314  0.4434  0.5327
Nd  0.9576  0.8777  0.8221
Dy  0.0000  0.0000  0.5000
Dy  0.0000  0.5000  0.0000
Dy  0.5000  0.0000  0.0000

Largest 6 diffraction maxima, in order of rising 2θ, 10° ≤ 2θ ≤ 90°:
two_theta, intensity
29.57, 235
29.79, 365
30.31, 412
30.68, 447
30.95, 1000
31.02, 526

---

Question: Number 6 is which compound?
Answer: Rb4DyNb3O12

---

Copy entry 2 word for word.
The following is a theoretical X-ray diffraction stick pattern of NaDy2Tl6. It was derived from a structure optimized by DFT (GGA-PBE), using Cu Kα.

Structural model:
Cell lengths 9.4408, 9.4408, 3.5295 Å; angles 90.71, 90.71, 55.10 degrees
Atoms (fractional coordinates):
Na  0.0000  0.0000  0.0000
Dy  0.3081  0.3081  0.5014
Dy  0.6919  0.6919  0.4986
Tl  0.0236  0.6550  0.0008
Tl  0.3211  0.6789  0.5000
Tl  0.3450  0.9764  0.9992
Tl  0.6550  0.0236  0.0008
Tl  0.6789  0.3211  0.5000
Tl  0.9764  0.3450  0.9992

Largest 6 diffraction maxima, in order of rising 2θ, 10° ≤ 2θ ≤ 90°:
two_theta, intensity
32.08, 568
34.27, 281
34.50, 270
34.76, 1000
38.25, 258
40.53, 267